The following is a simulated powder X-ray diffraction pattern of Ba2Ga10Sn. It was derived from a crystal structure in Alexandria, relaxed with PBE, using Cu Kα (weighted mean of Kα1 and Kα2).
Peak positions follow from Bragg's law for the DFT cell and can differ from measured ones.

Principal peaks in the range 2θ from 15° to 90°, in order of rising 2θ:
2θ (°)	intensity	hkl
22.43	30.7	1 0 -4
26.33	30.3	1 1 -4
30.03	100.0	1 0 4
31.55	96.6	1 2 0
32.81	81.8	2 1 -2
33.37	31.7	1 2 -3
34.06	37.3	2 1 0
35.03	63.0	0 2 4
38.74	32.5	0 2 5
40.47	52.8	2 1 -6
45.94	36.4	1 3 -3
47.42	30.8	2 2 -6

Atomic structure:
Cell: 6.021 6.514 17.358 Å, 90.00 107.09 90.00°
Positions (direct):
1 Ba 0.037 0.188 0.120
2 Ba 0.037 0.312 0.620
3 Ba 0.963 0.688 0.380
4 Ba 0.963 0.812 0.880
5 Ga 0.158 0.186 0.344
6 Ga 0.158 0.314 0.844
7 Ga 0.265 0.685 0.147
8 Ga 0.265 0.815 0.647
9 Ga 0.377 0.018 0.798
10 Ga 0.377 0.482 0.298
11 Ga 0.395 0.609 0.808
12 Ga 0.395 0.891 0.308
13 Ga 0.440 0.610 0.548
14 Ga 0.440 0.890 0.048
15 Ga 0.560 0.110 0.952
16 Ga 0.560 0.390 0.452
17 Ga 0.605 0.109 0.692
18 Ga 0.605 0.391 0.192
19 Ga 0.623 0.518 0.702
20 Ga 0.623 0.982 0.202
21 Ga 0.735 0.185 0.353
22 Ga 0.735 0.315 0.853
23 Ga 0.842 0.686 0.156
24 Ga 0.842 0.814 0.656
25 Sn 0.500 0.000 0.500
26 Sn 0.500 0.500 0.000